Simulated powder X-ray diffraction pattern
Compound: Nb2Zn3Cu
Radiation: Cu Ka
Structure: a structure optimized by DFT (PBE)
No peak broadening, texture or thermal motion is included.

Main lines, low angle first (10° ≤ 2θ ≤ 90°):
Position (°2θ)	I/Imax	index
35.30	42	1 1 0
39.62	86	1 0 3
40.98	14	2 0 0
42.16	100	1 1 2
42.59	90	2 0 1
66.25	32	2 1 3
68.06	23	3 0 2
73.32	27	2 0 5
74.65	31	2 2 0
87.99	16	3 1 3

Crystal structure
a = 5.0857 Å, b = 5.0857 Å, c = 7.9701 Å
α = 90.00°, β = 90.00°, γ = 120.00°
Fractional coordinates of all 12 atoms:
1 Nb 0.3333 0.6667 0.0685
2 Nb 0.3333 0.6667 0.4315
3 Nb 0.6667 0.3333 0.5685
4 Nb 0.6667 0.3333 0.9315
5 Zn 0.1705 0.3410 0.7500
6 Zn 0.1705 0.8295 0.7500
7 Zn 0.3410 0.1705 0.2500
8 Zn 0.6590 0.8295 0.7500
9 Zn 0.8295 0.1705 0.2500
10 Zn 0.8295 0.6590 0.2500
11 Cu 0.0000 0.0000 0.0000
12 Cu 0.0000 0.0000 0.5000